# In4ICl3
Simulated XRD peak list, Cu Kα, 1.54184 Å. Input: a crystal structure in Alexandria, relaxed with GGA-PBE.
Lines closer than 0.1° are merged.

Atomic structure:
Cell: 9.5493 10.1168 6.6155 Å, 90.00 90.00 90.00°
Space group Pmn2_1 (No. 31)
Asymmetric unit:
In 0.0000 0.1671 0.0000 x2
In 0.0000 0.8206 0.4023 x2
In 0.1811 0.6435 0.9666 x4
I 0.0000 0.2600 0.5200 x2
Cl 0.0000 0.8945 0.7980 x2
Cl 0.2299 0.6461 0.5266 x4

Main lines, in order of rising 2θ (2θ = 5–70°):
| 2θ/deg | intensity | hkl |
| --- | --- | --- |
| 17.5 | 79 | 0 2 0 |
| 20.6 | 76 | 2 1 0 |
| 22.1 | 100 | 0 2 1 |
| 27.0 | 84 | 0 0 2 |
| 29.9 | 38 | 1 1 2 |
| 32.5 | 76 | 2 3 0 |
| 40.3 | 63 | 3 1 2 |
| 42.7 | 49 | 2 3 2 |

# Nb8Pb6O25
Simulated XRD peak list, Cu Kα, 1.54184 Å. Input: a crystal structure in Alexandria, relaxed with GGA-PBE.
Lines closer than 0.1° are merged.

Atomic structure:
Cell: 10.7406 10.9083 10.6051 Å, 90.00 90.19 90.00°
Space group C2 (No. 5)
Asymmetric unit:
Nb 0.1176 0.0000 0.3740 x4
Nb 0.1271 0.5021 0.8801 x4
Nb 0.1296 0.7519 0.1247 x4
Nb 0.1311 0.2508 0.6260 x4
Pb 0.1013 0.2417 0.1132 x4
Pb 0.1175 0.7503 0.6344 x4
Pb 0.1336 0.5055 0.3655 x4
O 0.0000 0.2947 0.5000 x2
O 0.0000 0.4270 0.0000 x2
O 0.0000 0.6241 0.5000 x2
O 0.0000 0.7853 0.0000 x2
O 0.0000 0.9171 0.5000 x2
O 0.0025 0.1149 0.3127 x4
O 0.0031 0.6102 0.8015 x4
O 0.0604 0.8581 0.2550 x4
O 0.0617 0.3568 0.7541 x4
O 0.1871 0.6136 0.0008 x4
O 0.1908 0.1076 0.5025 x4
O 0.2417 0.6732 0.2582 x4
O 0.2453 0.3582 0.9360 x4
O 0.2481 0.0418 0.2495 x4
O 0.2487 0.3627 0.5546 x4

Main lines, in order of rising 2θ (2θ = 5–70°):
| 2θ/deg | intensity | hkl |
| --- | --- | --- |
| 14.3 | 8 | 1 1 -1 |
| 28.8 | 100 | 2 2 -2 |
| 32.8 | 14 | 0 4 0 |
| 33.4 | 11 | 4 0 0 |
| 33.8 | 12 | 0 0 4 |
| 47.5 | 13 | 4 4 0 |
| 47.9 | 14 | 0 4 4 |
| 56.1 | 8 | 2 6 -2 |

# Na6HgPb2
Simulated XRD peak list, Cu Kα, 1.54184 Å. Input: a crystal structure in Alexandria, relaxed with GGA-PBE.
Lines closer than 0.1° are merged.

Atomic structure:
Cell: 8.6266 9.3914 6.2917 Å, 90.00 97.64 90.00°
Space group C2/m (No. 12)
Asymmetric unit:
Na 0.0000 0.1692 0.0000 x4
Na 0.1654 0.3348 0.6696 x8
Hg 0.0000 0.0000 0.5000 x2
Pb 0.1801 0.5000 0.1792 x4

Main lines, in order of rising 2θ (2θ = 5–70°):
| 2θ/deg | intensity | hkl |
| --- | --- | --- |
| 19.0 | 100 | 0 2 0 |
| 26.8 | 10 | 2 0 1 |
| 32.8 | 28 | 3 1 0 |
| 33.1 | 63 | 1 3 -1 |
| 33.3 | 45 | 2 0 -2 |
| 38.5 | 12 | 2 2 -2 |
| 47.4 | 11 | 2 4 1 |
| 58.9 | 19 | 3 5 0 |

# Ac4Ge2SCl
Simulated XRD peak list, Cu Kα, 1.54184 Å. Input: a crystal structure in Alexandria, relaxed with GGA-PBE.
Lines closer than 0.1° are merged.

Atomic structure:
Cell: 6.3409 6.3409 12.6110 Å, 90.00 90.00 90.00°
Space group I4/mmm (No. 139)
Asymmetric unit:
Ac 0.0000 0.0000 0.2417 x4
Ac 0.0000 0.5000 0.0000 x4
Ge 0.0000 0.5000 0.2500 x4
S 0.0000 0.0000 0.0000 x2
Cl 0.0000 0.0000 0.5000 x2

Main lines, in order of rising 2θ (2θ = 5–70°):
| 2θ/deg | intensity | hkl |
| --- | --- | --- |
| 24.4 | 99 | 1 1 2 |
| 28.1 | 100 | 2 0 0 |
| 28.3 | 48 | 0 0 4 |
| 40.2 | 39 | 2 2 0 |
| 40.3 | 75 | 2 0 4 |
| 47.6 | 36 | 3 1 2 |
| 49.9 | 41 | 2 2 4 |
| 65.9 | 36 | 4 2 0 |

# CdSnHg2Br4
Simulated XRD peak list, Cu Kα, 1.54184 Å. Input: a crystal structure in Alexandria, relaxed with GGA-PBE.
Lines closer than 0.1° are merged.

Atomic structure:
Cell: 6.9841 7.1052 7.1564 Å, 61.16 79.62 70.97°
Space group P1 (No. 1)
Asymmetric unit:
Cd 0.0000 0.0000 0.0000 x1
Sn 0.6312 0.7888 0.6701 x1
Hg 0.3791 0.2728 0.3470 x1
Hg 0.3807 0.5025 0.6507 x1
Br 0.4000 0.9031 0.0130 x1
Br 0.8609 0.3923 0.0063 x1
Br 0.9028 0.6743 0.3510 x1
Br 0.9118 0.0230 0.6451 x1

Main lines, in order of rising 2θ (2θ = 5–70°):
| 2θ/deg | intensity | hkl |
| --- | --- | --- |
| 22.7 | 35 | 1 -1 0 |
| 26.4 | 100 | 1 1 -1 |
| 26.5 | 39 | 0 2 1 |
| 27.0 | 87 | 2 0 0 |
| 30.1 | 56 | 1 -1 1 |
| 31.1 | 83 | -1 1 2 |
| 43.3 | 36 | 0 0 3 |
| 44.3 | 40 | -2 2 1 |

# RbCuHg2W
Simulated XRD peak list, Cu Kα, 1.54184 Å. Input: a crystal structure in Alexandria, relaxed with GGA-PBE.
Lines closer than 0.1° are merged.

Atomic structure:
Cell: 6.7105 6.7105 6.0225 Å, 90.00 90.00 90.00°
Space group P4/mmm (No. 123)
Asymmetric unit:
Rb 0.0000 0.0000 0.0000 x1
Cu 0.0000 0.0000 0.5000 x1
Hg 0.0000 0.5000 0.0000 x2
W 0.5000 0.5000 0.5000 x1

Main lines, in order of rising 2θ (2θ = 5–70°):
| 2θ/deg | intensity | hkl |
| --- | --- | --- |
| 19.8 | 19 | 1 0 1 |
| 23.9 | 100 | 1 1 1 |
| 26.6 | 66 | 2 0 0 |
| 29.7 | 25 | 0 0 2 |
| 37.9 | 26 | 2 2 0 |
| 40.2 | 45 | 2 0 2 |
| 45.3 | 38 | 3 1 1 |
| 48.9 | 26 | 2 2 2 |

# Hf27P16
Simulated XRD peak list, Cu Kα, 1.54184 Å. Input: a crystal structure in Alexandria, relaxed with GGA-PBE.
Lines closer than 0.1° are merged.

Atomic structure:
Cell: 3.5337 18.6438 23.1279 Å, 90.00 90.00 90.00°
Space group Immm (No. 71)
Asymmetric unit:
Hf 0.0000 0.0000 0.0000 x2
Hf 0.0000 0.1314 0.3914 x8
Hf 0.0000 0.1334 0.1827 x8
Hf 0.0000 0.2457 0.0709 x8
Hf 0.0000 0.3139 0.2152 x8
Hf 0.0000 0.4067 0.4198 x8
Hf 0.0000 0.4163 0.0000 x4
Hf 0.0000 0.5000 0.1472 x4
Hf 0.0000 0.5000 0.2846 x4
P 0.0000 0.0000 0.1249 x4
P 0.0000 0.0000 0.4396 x4
P 0.0000 0.0758 0.2854 x8
P 0.0000 0.1385 0.0000 x4
P 0.0000 0.1912 0.5000 x4
P 0.0000 0.2685 0.3436 x8

Main lines, in order of rising 2θ (2θ = 5–70°):
| 2θ/deg | intensity | hkl |
| --- | --- | --- |
| 29.8 | 36 | 0 6 2 |
| 31.9 | 45 | 1 0 5 |
| 35.9 | 78 | 1 5 2 |
| 37.4 | 91 | 1 4 5 |
| 37.9 | 37 | 0 3 9 |
| 38.5 | 100 | 1 2 7 |
| 39.0 | 56 | 0 7 5 |
| 51.7 | 38 | 2 0 0 |

# Cs2Rb3Au
Simulated XRD peak list, Cu Kα, 1.54184 Å. Input: a crystal structure in Alexandria, relaxed with GGA-PBE.
Lines closer than 0.1° are merged.

Atomic structure:
Cell: 6.8703 6.8703 10.6342 Å, 90.00 90.00 120.00°
Space group P-6m2 (No. 187)
Asymmetric unit:
Cs 0.0000 0.0000 0.2073 x2
Rb 0.3333 0.6667 0.5000 x1
Rb 0.6667 0.3333 0.0000 x1
Rb 0.6667 0.3333 0.5000 x1
Au 0.3333 0.6667 0.0000 x1

Main lines, in order of rising 2θ (2θ = 5–70°):
| 2θ/deg | intensity | hkl |
| --- | --- | --- |
| 8.3 | 21 | 0 0 1 |
| 22.4 | 100 | 1 0 2 |
| 25.9 | 84 | 1 1 0 |
| 34.5 | 33 | 2 0 2 |
| 43.0 | 28 | 1 1 4 |
| 43.7 | 34 | 2 1 2 |
| 45.7 | 19 | 3 0 0 |
| 58.6 | 22 | 1 1 6 |

# YHgSb2
Simulated XRD peak list, Cu Kα, 1.54184 Å. Input: a crystal structure in Alexandria, relaxed with GGA-PBE.
Lines closer than 0.1° are merged.

Atomic structure:
Cell: 4.3851 4.3973 10.8979 Å, 90.00 90.00 90.00°
Space group Imm2 (No. 44)
Asymmetric unit:
Y 0.0000 0.0000 0.0000 x2
Hg 0.0000 0.5000 0.7509 x2
Sb 0.0000 0.0000 0.4998 x2
Sb 0.0000 0.5000 0.2488 x2

Main lines, in order of rising 2θ (2θ = 5–70°):
| 2θ/deg | intensity | hkl |
| --- | --- | --- |
| 32.9 | 26 | 0 0 4 |
| 33.2 | 100 | 1 1 2 |
| 41.1 | 14 | 0 2 0 |
| 41.2 | 14 | 2 0 0 |
| 53.6 | 25 | 2 0 4 |
| 58.9 | 19 | 1 1 6 |
| 69.7 | 12 | 2 2 4 |
| 69.8 | 11 | 1 3 2 |